(1)
Computed powder diffraction line list
Compound: RbTl4Hg9
Radiation: Cu Ka
Structure: a structure optimized by DFT (PBE)

Cell and atoms:
```
RbTl4Hg9
1.0
-5.4419 5.4419 7.3819
5.4419 -5.4419 7.3819
5.4419 5.4419 -7.3819
Rb Tl Hg
2 8 18
direct
0.2500 0.2500 0.0000
0.7500 0.7500 0.0000
0.0588 0.5588 0.8639
0.1949 0.0588 0.5000
0.3051 0.8051 0.8639
0.4412 0.3051 0.5000
0.5588 0.6949 0.5000
0.6949 0.1949 0.1361
0.8051 0.9412 0.5000
0.9412 0.4412 0.1361
0.0000 0.5000 0.5000
0.0529 0.1940 0.2469
0.0554 0.7942 0.5000
0.1940 0.9471 0.1412
0.2058 0.7058 0.2612
0.2942 0.5554 0.5000
0.3060 0.4471 0.7531
0.4446 0.9446 0.7388
0.4471 0.6940 0.1412
0.5000 0.0000 0.5000
0.5529 0.3060 0.8588
0.5554 0.0554 0.2612
0.6940 0.5529 0.2469
0.7058 0.4446 0.5000
0.7942 0.2942 0.7388
0.8060 0.0529 0.8588
0.9446 0.2058 0.5000
0.9471 0.8060 0.7531
```

Main lines, by angle (10° ≤ 2θ ≤ 90°):
2theta  I (rel.)
11.50  49.5
28.62  81.7
29.24  44.2
34.52  97.3
34.87  100.0
34.98  51.4
35.56  73.0
35.67  52.6

=====

(2)
Computed powder diffraction line list
Compound: RbTl5Hg3
Radiation: Cu Ka
Structure: a structure optimized by DFT (PBE)

Cell and atoms:
```
RbTl5Hg3
1.0
1.7469 -8.9026 0.0000
1.7469 8.9026 0.0000
0.0000 0.0000 18.5310
Rb Tl Hg
2 10 6
direct
0.1751 0.8249 0.7500
0.8249 0.1751 0.2500
0.0000 0.0000 0.0000
0.0000 0.0000 0.5000
0.1723 0.8277 0.0834
0.1723 0.8277 0.4166
0.4921 0.5079 0.6591
0.4921 0.5079 0.8409
0.5079 0.4921 0.1591
0.5079 0.4921 0.3409
0.8277 0.1723 0.5834
0.8277 0.1723 0.9166
0.1441 0.8559 0.2500
0.3459 0.6541 0.0737
0.3459 0.6541 0.4263
0.6541 0.3459 0.5737
0.6541 0.3459 0.9263
0.8559 0.1441 0.7500
```

Main lines, by angle (10° ≤ 2θ ≤ 90°):
2theta  I (rel.)
26.44  34.5
29.80  60.6
30.11  100.0
30.64  85.8
31.24  68.0
32.49  48.2
35.37  82.8
36.35  30.8